# 1
V3Co20B6: calculated PXRD pattern (Cu Kα), based on a structure optimized by DFT (GGA-PBE).
Intensities are scaled so that the largest is 100.

Top 10 peaks for 5 to 70 degrees two-theta, in order of falling intensity:
- 2θ = 45.24°, d 2.004, I = 100, hkl 3 3 3
- 2θ = 51.95°, d 1.760, I = 30, hkl 5 3 1
- 2θ = 42.53°, d 2.126, I = 24, hkl 4 2 2
- 2θ = 38.67°, d 2.329, I = 20, hkl 4 2 0
- 2θ = 49.51°, d 1.841, I = 19, hkl 4 4 0
- 2θ = 52.74°, d 1.736, I = 15, hkl 6 0 0
- 2θ = 34.45°, d 2.604, I = 8, hkl 4 0 0
- 2θ = 58.82°, d 1.570, I = 7, hkl 6 2 2
- 2θ = 58.08°, d 1.588, I = 3, hkl 5 3 3
- 2θ = 29.72°, d 3.006, I = 3, hkl 2 2 2

Cell and atoms:
a = 10.4142 Å, b = 10.4142 Å, c = 10.4142 Å
α = 90.00°, β = 90.00°, γ = 90.00°
Space group Fm-3m (No. 225)
Asymmetric unit:
V: 0.0000 0.0000 0.0000 [4 per cell]
V: 0.2500 0.2500 0.2500 [8 per cell]
Co: 0.0000 0.1696 0.1696 [48 per cell]
Co: 0.1199 0.1199 0.3801 [32 per cell]
B: 0.0000 0.0000 0.2739 [24 per cell]

---

# 2
VCoB3: calculated PXRD pattern (Cu Kα), based on a structure optimized by DFT (GGA-PBE).
Intensities are scaled so that the largest is 100.

Top 10 peaks for 5 to 70 degrees two-theta, in order of falling intensity:
- 2θ = 45.56°, d 1.991, I = 100, hkl 1 3 1
- 2θ = 36.49°, d 2.462, I = 84, hkl 0 4 1
- 2θ = 47.27°, d 1.923, I = 58, hkl 1 7 0
- 2θ = 30.10°, d 2.968, I = 33, hkl 1 1 0
- 2θ = 10.11°, d 8.745, I = 33, hkl 0 2 0
- 2θ = 41.29°, d 2.186, I = 22, hkl 0 8 0
- 2θ = 43.01°, d 2.103, I = 17, hkl 1 1 1
- 2θ = 61.58°, d 1.506, I = 17, hkl 2 0 0
- 2θ = 62.33°, d 1.490, I = 16, hkl 0 0 2
- 2θ = 61.48°, d 1.508, I = 14, hkl 0 10 1

Cell and atoms:
a = 3.0122 Å, b = 17.4904 Å, c = 2.9792 Å
α = 90.00°, β = 90.00°, γ = 90.00°
Space group Cmcm (No. 63)
Asymmetric unit:
V: 0.0000 0.0744 0.2500 [4 per cell]
Co: 0.0000 0.2038 0.7500 [4 per cell]
B: 0.0000 0.3209 0.7500 [4 per cell]
B: 0.0000 0.3754 0.2500 [4 per cell]
B: 0.0000 0.4750 0.2500 [4 per cell]

---

What is the formula in the second record? VCoB3